# 1
For La2ErAs3Rh12, a crystal structure in Alexandria, relaxed with GGA-PBE gives the simulated X-ray powder pattern in this record (Cu Ka).
Lines closer than 0.1° are merged.

Top 10 peaks for 10 to 90 degrees two-theta, in order of rising 2θ:
| Position (°2θ) | I_rel |
| --- | --- |
| 28.27 | 20 |
| 35.57 | 12 |
| 36.04 | 19 |
| 39.55 | 100 |
| 41.28 | 31 |
| 46.04 | 17 |
| 54.57 | 11 |
| 58.48 | 21 |
| 71.74 | 16 |
| 85.16 | 10 |

Structural model:
Unit cell a=6.845 b=6.845 c=6.845 alpha=83.49 beta=83.49 gamma=83.49
Sites, in units of the cell vectors:
La: 0.135 0.135 0.135
La: 0.865 0.865 0.865
Er: 0.500 0.500 0.500
As: 0.000 0.500 0.500
As: 0.500 0.000 0.500
As: 0.500 0.500 0.000
Rh: 0.126 0.126 0.598
Rh: 0.126 0.598 0.126
Rh: 0.175 0.686 0.686
Rh: 0.314 0.314 0.825
Rh: 0.314 0.825 0.314
Rh: 0.402 0.874 0.874
Rh: 0.598 0.126 0.126
Rh: 0.686 0.175 0.686
Rh: 0.686 0.686 0.175
Rh: 0.825 0.314 0.314
Rh: 0.874 0.402 0.874
Rh: 0.874 0.874 0.402

---

# 2
For LiErAsO4, a crystal structure in Alexandria, relaxed with GGA-PBE gives the simulated X-ray powder pattern in this record (Cu Ka).
Lines closer than 0.1° are merged.

Top 10 peaks for 10 to 90 degrees two-theta, in order of rising 2θ:
| Position (°2θ) | I_rel |
| --- | --- |
| 17.39 | 46 |
| 21.75 | 47 |
| 27.32 | 44 |
| 28.97 | 16 |
| 31.78 | 100 |
| 35.71 | 33 |
| 44.52 | 16 |
| 44.95 | 19 |
| 51.17 | 31 |
| 60.03 | 26 |

Structural model:
Unit cell a=6.226 b=6.226 c=6.226 alpha=116.76 beta=114.29 gamma=97.95
Sites, in units of the cell vectors:
Li: 0.500 0.000 0.000
Li: 0.500 0.500 0.500
Er: 0.000 0.000 0.000
Er: 0.500 0.000 0.500
As: 0.152 0.402 0.750
As: 0.848 0.598 0.250
O: 0.190 0.726 0.464
O: 0.239 0.274 0.964
O: 0.264 0.239 0.475
O: 0.264 0.789 0.025
O: 0.736 0.211 0.975
O: 0.736 0.761 0.525
O: 0.761 0.726 0.036
O: 0.810 0.274 0.536

---

# 3
For Li3Er3AsO8, a crystal structure in Alexandria, relaxed with GGA-PBE gives the simulated X-ray powder pattern in this record (Cu Ka).
Lines closer than 0.1° are merged.

Top 10 peaks for 10 to 90 degrees two-theta, in order of rising 2θ:
| Position (°2θ) | I_rel |
| --- | --- |
| 17.86 | 100 |
| 32.02 | 65 |
| 33.72 | 39 |
| 36.18 | 11 |
| 39.87 | 59 |
| 44.00 | 25 |
| 53.79 | 18 |
| 55.97 | 21 |
| 59.27 | 41 |
| 68.48 | 12 |

Structural model:
Unit cell a=6.249 b=6.249 c=6.249 alpha=63.45 beta=63.45 gamma=63.45
Sites, in units of the cell vectors:
Li: 0.000 0.500 0.500
Li: 0.500 0.000 0.500
Li: 0.500 0.500 0.000
Er: 0.000 0.000 0.500
Er: 0.000 0.500 0.000
Er: 0.500 0.000 0.000
As: 0.500 0.500 0.500
O: 0.244 0.244 0.244
O: 0.275 0.723 0.723
O: 0.277 0.277 0.725
O: 0.277 0.725 0.277
O: 0.723 0.275 0.723
O: 0.723 0.723 0.275
O: 0.725 0.277 0.277
O: 0.756 0.756 0.756